[1]
Diffraction record for ZrTlO3. The powder diffraction line list is computed, not measured: it uses a crystal structure in the Materials Project, relaxed with GGA-PBE and λ = 1.5418 Å (Cu Kα).
Kinematic intensities with the Lorentz-polarization factor, no thermal factor.

Largest 10 diffraction maxima, in order of rising 2θ, 2θ = 10–80°:
- 2θ 21.09, rel. 11.2
- 2θ 30.00, rel. 100.0
- 2θ 36.96, rel. 12.3
- 2θ 42.94, rel. 28.7
- 2θ 48.31, rel. 6.3
- 2θ 53.26, rel. 41.3
- 2θ 62.34, rel. 18.2
- 2θ 70.72, rel. 17.9
- 2θ 74.74, rel. 4.3
- 2θ 78.68, rel. 6.0

Structure:
```
data_ZrTlO3
_cell_length_a 4.213
_cell_length_b 4.213
_cell_length_c 4.213
_cell_angle_alpha 90.00
_cell_angle_beta 90.00
_cell_angle_gamma 90.00
_symmetry_space_group_name_H-M 'P 1'
_symmetry_Int_Tables_number 1
loop_
_symmetry_equiv_pos_as_xyz
'x,y,z'
loop_
_atom_site_label
_atom_site_fract_x
_atom_site_fract_y
_atom_site_fract_z
_atom_site_occupancy
Zr1 0.000 0.000 0.000 1
Tl1 0.500 0.500 0.500 1
O1 0.000 0.000 0.500 1
O2 0.000 0.500 0.000 1
O3 0.500 0.000 0.000 1
```

=====

[2]
Diffraction record for RbCuO3. The powder diffraction line list is computed, not measured: it uses a crystal structure in the Materials Project, relaxed with GGA-PBE and λ = 1.5418 Å (Cu Kα).
Kinematic intensities with the Lorentz-polarization factor, no thermal factor.

Largest 7 diffraction maxima, in order of rising 2θ, 2θ = 10–80°:
- 2θ 31.26, rel. 100.0
- 2θ 38.54, rel. 8.4
- 2θ 44.80, rel. 38.1
- 2θ 55.64, rel. 38.4
- 2θ 65.22, rel. 22.1
- 2θ 74.10, rel. 16.3
- 2θ 78.39, rel. 2.3

Structure:
```
data_RbCuO3
_cell_length_a 4.046
_cell_length_b 4.046
_cell_length_c 4.046
_cell_angle_alpha 90.00
_cell_angle_beta 90.00
_cell_angle_gamma 90.00
_symmetry_space_group_name_H-M 'P 1'
_symmetry_Int_Tables_number 1
loop_
_symmetry_equiv_pos_as_xyz
'x,y,z'
loop_
_atom_site_label
_atom_site_fract_x
_atom_site_fract_y
_atom_site_fract_z
_atom_site_occupancy
Rb1 0.000 0.000 0.000 1
Cu1 0.500 0.500 0.500 1
O1 0.000 0.500 0.500 1
O2 0.500 0.000 0.500 1
O3 0.500 0.500 0.000 1
```